The following is a theoretical PXRD pattern of Pr2Ho15Sc2. It was derived from a crystal structure in Alexandria, relaxed with PBE, using λ = 1.5418 Å (Cu Kα).
Neutral-atom scattering factors, no anomalous dispersion.

Crystal structure
```
data_Pr2Ho15Sc2
_cell_length_a 11.1699
_cell_length_b 11.1699
_cell_length_c 17.2260
_cell_angle_alpha 90.00
_cell_angle_beta 90.00
_cell_angle_gamma 120.00
_space_group_name_H-M_alt 'R -3 m'
_space_group_IT_number 166
_space_group_name_Hall '-R 3 2"'
loop_
_atom_site_label
_atom_site_type_symbol
_atom_site_fract_x
_atom_site_fract_y
_atom_site_fract_z
Pr1 Pr 0.0000 0.0000 0.1750
Ho1 Ho 0.0000 0.2933 0.5000
Ho2 Ho 0.0000 0.5000 0.0000
Ho3 Ho 0.0055 0.5027 0.6399
Sc1 Sc 0.0000 0.0000 0.4082
```

Most intense lines, 2θ from 10° to 90°, sorted by position:
| Position (°2θ) | I/Imax | hkl |
| --- | --- | --- |
| 15.87 | 27 | 1 1 0 |
| 27.71 | 25 | 0 2 4 |
| 31.15 | 26 | 0 0 6 |
| 31.85 | 100 | 0 3 3 |
| 32.05 | 33 | 2 2 0 |
| 35.76 | 51 | 2 2 3 |

=====

The following is a theoretical PXRD pattern of Pr8Ho3Sc2. It was derived from a crystal structure in Alexandria, relaxed with PBE, using λ = 1.5418 Å (Cu Kα).
Neutral-atom scattering factors, no anomalous dispersion.

Crystal structure
```
data_Pr8Ho3Sc2
_cell_length_a 19.881
_cell_length_b 7.832
_cell_length_c 5.736
_cell_angle_alpha 90.00
_cell_angle_beta 90.02
_cell_angle_gamma 90.00
_space_group_name_H-M_alt 'C 1 2/m 1'
_space_group_IT_number 12
loop_
_space_group_symop_operation_xyz
'x,y,z'
'-x,-y,-z'
'-x,y,-z'
'x,-y,z'
'x+1/2,y+1/2,z'
'-x+1/2,-y+1/2,-z'
'-x+1/2,y+1/2,-z'
'x+1/2,-y+1/2,z'
loop_
_atom_site_label
_atom_site_type_symbol
_atom_site_fract_x
_atom_site_fract_y
_atom_site_fract_z
Pr1 Pr 0.110 0.204 0.000
Pr2 Pr 0.131 0.500 0.500
Pr3 Pr 0.180 0.000 0.501
Ho1 Ho 0.000 0.212 0.500
Ho2 Ho 0.000 0.500 0.000
Sc1 Sc 0.239 0.500 0.999
```

Most intense lines, 2θ from 10° to 90°, sorted by position:
| Position (°2θ) | I/Imax | hkl |
| --- | --- | --- |
| 29.03 | 19 | 2 2 1 |
| 29.62 | 51 | 5 1 1 |
| 31.18 | 75 | 0 0 2 |
| 33.05 | 100 | 4 2 -1 |
| 47.30 | 18 | 1 3 2 |
| 56.69 | 21 | 4 2 -3 |

=====

The following is a theoretical PXRD pattern of TbPrHo2Sc. It was derived from a crystal structure in Alexandria, relaxed with PBE, using λ = 1.5418 Å (Cu Kα).
Neutral-atom scattering factors, no anomalous dispersion.

Crystal structure
```
data_TbPrHo2Sc
_cell_length_a 3.582
_cell_length_b 5.443
_cell_length_c 8.334
_cell_angle_alpha 90.00
_cell_angle_beta 90.00
_cell_angle_gamma 90.00
_space_group_name_H-M_alt 'P m m m'
_space_group_IT_number 47
loop_
_space_group_symop_operation_xyz
'x,y,z'
'-x,-y,-z'
'-x,-y,z'
'x,y,-z'
'x,-y,-z'
'-x,y,z'
'-x,y,-z'
'x,-y,z'
loop_
_atom_site_label
_atom_site_type_symbol
_atom_site_fract_x
_atom_site_fract_y
_atom_site_fract_z
Tb1 Tb 0.000 0.000 0.000
Pr1 Pr 0.500 0.000 0.500
Ho1 Ho 0.500 0.500 0.187
Sc1 Sc 0.000 0.500 0.500
```

Most intense lines, 2θ from 10° to 90°, sorted by position:
| Position (°2θ) | I/Imax | hkl |
| --- | --- | --- |
| 26.95 | 81 | 0 1 2 |
| 31.78 | 100 | 1 1 1 |
| 32.93 | 63 | 0 2 0 |
| 41.12 | 35 | 1 0 3 |
| 53.64 | 33 | 1 2 3 |
| 63.94 | 25 | 1 1 5 |

=====

The following is a theoretical PXRD pattern of Tb5PrHo2Sc. It was derived from a crystal structure in Alexandria, relaxed with PBE, using λ = 1.5418 Å (Cu Kα).
Neutral-atom scattering factors, no anomalous dispersion.

Crystal structure
```
data_Tb5PrHo2Sc
_cell_length_a 5.587
_cell_length_b 19.792
_cell_length_c 10.395
_cell_angle_alpha 90.00
_cell_angle_beta 90.00
_cell_angle_gamma 90.00
_space_group_name_H-M_alt 'C m c 21'
_space_group_IT_number 36
loop_
_space_group_symop_operation_xyz
'x,y,z'
'-x,-y,z+1/2'
'-x,y,z'
'x,-y,z+1/2'
'x+1/2,y+1/2,z'
'-x+1/2,-y+1/2,z+1/2'
'-x+1/2,y+1/2,z'
'x+1/2,-y+1/2,z+1/2'
loop_
_atom_site_label
_atom_site_type_symbol
_atom_site_fract_x
_atom_site_fract_y
_atom_site_fract_z
Tb1 Tb 0.000 0.018 0.000
Tb2 Tb 0.000 0.277 0.302
Tb3 Tb 0.000 0.298 0.687
Tb4 Tb 0.000 0.376 0.001
Tb5 Tb 0.000 0.481 0.720
Pr1 Pr 0.000 0.413 0.434
Ho1 Ho 0.000 0.112 0.295
Ho2 Ho 0.000 0.114 0.716
Sc1 Sc 0.000 0.196 0.995
```

Most intense lines, 2θ from 10° to 90°, sorted by position:
| Position (°2θ) | I/Imax | hkl |
| --- | --- | --- |
| 27.05 | 23 | 1 3 2 |
| 28.39 | 18 | 0 6 1 |
| 30.70 | 40 | 1 1 3 |
| 32.05 | 50 | 2 0 0 |
| 32.64 | 100 | 1 5 2 |
| 57.48 | 24 | 3 5 2 |

=====

The following is a theoretical PXRD pattern of TbPrHo5Sc2. It was derived from a crystal structure in Alexandria, relaxed with PBE, using λ = 1.5418 Å (Cu Kα).
Neutral-atom scattering factors, no anomalous dispersion.

Crystal structure
```
data_TbPrHo5Sc2
_cell_length_a 5.577
_cell_length_b 21.438
_cell_length_c 9.333
_cell_angle_alpha 90.00
_cell_angle_beta 90.00
_cell_angle_gamma 90.00
_space_group_name_H-M_alt 'C m c 21'
_space_group_IT_number 36
loop_
_space_group_symop_operation_xyz
'x,y,z'
'-x,-y,z+1/2'
'-x,y,z'
'x,-y,z+1/2'
'x+1/2,y+1/2,z'
'-x+1/2,-y+1/2,z+1/2'
'-x+1/2,y+1/2,z'
'x+1/2,-y+1/2,z+1/2'
loop_
_atom_site_label
_atom_site_type_symbol
_atom_site_fract_x
_atom_site_fract_y
_atom_site_fract_z
Tb1 Tb 0.000 0.190 0.000
Pr1 Pr 0.000 0.403 0.396
Ho1 Ho 0.000 0.007 0.005
Ho2 Ho 0.000 0.265 0.315
Ho3 Ho 0.000 0.308 0.702
Ho4 Ho 0.000 0.390 0.023
Ho5 Ho 0.000 0.469 0.730
Sc1 Sc 0.000 0.113 0.304
Sc2 Sc 0.000 0.145 0.672
```

Most intense lines, 2θ from 10° to 90°, sorted by position:
| Position (°2θ) | I/Imax | hkl |
| --- | --- | --- |
| 26.72 | 25 | 0 6 1 |
| 32.10 | 58 | 2 0 0 |
| 32.59 | 100 | 1 5 2 |
| 33.24 | 61 | 1 1 3 |
| 34.78 | 46 | 1 7 1 |
| 57.55 | 26 | 3 5 2 |

=====

The following is a theoretical PXRD pattern of Tb6PrHo2Sc3. It was derived from a crystal structure in Alexandria, relaxed with PBE, using λ = 1.5418 Å (Cu Kα).
Neutral-atom scattering factors, no anomalous dispersion.

Crystal structure
```
data_Tb6PrHo2Sc3
_cell_length_a 6.072
_cell_length_b 10.512
_cell_length_c 11.508
_cell_angle_alpha 90.00
_cell_angle_beta 100.11
_cell_angle_gamma 90.00
_space_group_name_H-M_alt 'C 1 2/m 1'
_space_group_IT_number 12
loop_
_space_group_symop_operation_xyz
'x,y,z'
'-x,-y,-z'
'-x,y,-z'
'x,-y,z'
'x+1/2,y+1/2,z'
'-x+1/2,-y+1/2,-z'
'-x+1/2,y+1/2,-z'
'x+1/2,-y+1/2,z'
loop_
_atom_site_label
_atom_site_type_symbol
_atom_site_fract_x
_atom_site_fract_y
_atom_site_fract_z
Tb1 Tb 0.246 0.167 0.240
Tb2 Tb 0.247 0.500 0.240
Pr1 Pr 0.000 0.500 0.500
Ho1 Ho 0.000 0.167 0.500
Sc1 Sc 0.000 0.000 0.000
Sc2 Sc 0.000 0.333 0.000
```

Most intense lines, 2θ from 10° to 90°, sorted by position:
| Position (°2θ) | I/Imax | hkl |
| --- | --- | --- |
| 31.29 | 100 | 1 3 1 |
| 31.59 | 31 | 0 0 4 |
| 36.38 | 66 | 2 0 2 |
| 52.20 | 24 | 0 6 0 |
| 52.58 | 22 | 1 3 5 |
| 62.30 | 27 | 0 6 4 |

=====

The following is a theoretical PXRD pattern of Pr4Ho3ScTe8. It was derived from a crystal structure in Alexandria, relaxed with PBE, using λ = 1.5418 Å (Cu Kα).
Neutral-atom scattering factors, no anomalous dispersion.

Crystal structure
```
data_Pr4Ho3ScTe8
_cell_length_a 8.7094
_cell_length_b 8.7094
_cell_length_c 22.2573
_cell_angle_alpha 90.00
_cell_angle_beta 90.00
_cell_angle_gamma 120.00
_space_group_name_H-M_alt 'R -3 m'
_space_group_IT_number 166
_space_group_name_Hall '-R 3 2"'
loop_
_atom_site_label
_atom_site_type_symbol
_atom_site_fract_x
_atom_site_fract_y
_atom_site_fract_z
Pr1 Pr 0.0000 0.0000 0.0000
Pr2 Pr 0.0000 0.5000 0.0000
Ho1 Ho 0.0000 0.5000 0.5000
Sc1 Sc 0.0000 0.0000 0.5000
Te1 Te 0.0000 0.0000 0.2445
Te2 Te 0.0061 0.5031 0.2430
```

Most intense lines, 2θ from 10° to 90°, sorted by position:
| Position (°2θ) | I/Imax | hkl |
| --- | --- | --- |
| 28.59 | 100 | 0 2 4 |
| 40.28 | 38 | 2 0 8 |
| 41.47 | 37 | 2 2 0 |
| 51.15 | 20 | 4 0 4 |
| 66.19 | 16 | 2 2 12 |
| 67.88 | 17 | 2 4 4 |

=====

The following is a theoretical PXRD pattern of PrHo2ThSc. It was derived from a crystal structure in Alexandria, relaxed with PBE, using λ = 1.5418 Å (Cu Kα).
Neutral-atom scattering factors, no anomalous dispersion.

Crystal structure
```
data_PrHo2ThSc
_cell_length_a 7.830
_cell_length_b 5.015
_cell_length_c 7.885
_cell_angle_alpha 90.00
_cell_angle_beta 90.57
_cell_angle_gamma 90.00
_space_group_name_H-M_alt 'P 1 21/m 1'
_space_group_IT_number 11
loop_
_space_group_symop_operation_xyz
'x,y,z'
'-x,-y,-z'
'-x,y+1/2,-z'
'x,-y+1/2,z'
loop_
_atom_site_label
_atom_site_type_symbol
_atom_site_fract_x
_atom_site_fract_y
_atom_site_fract_z
Pr1 Pr 0.249 0.250 0.245
Ho1 Ho 0.159 0.750 0.946
Ho2 Ho 0.347 0.750 0.549
Th1 Th 0.055 0.250 0.650
Sc1 Sc 0.449 0.250 0.849
```

Most intense lines, 2θ from 10° to 90°, sorted by position:
| Position (°2θ) | I/Imax | hkl |
| --- | --- | --- |
| 11.28 | 33 | 1 0 0 |
| 30.95 | 100 | 1 1 -2 |
| 31.21 | 98 | 2 1 1 |
| 35.81 | 34 | 0 2 0 |
| 36.15 | 66 | 1 0 3 |
| 51.78 | 59 | 1 2 3 |

=====

The following is a theoretical PXRD pattern of Pr2HoTm5Sc. It was derived from a crystal structure in Alexandria, relaxed with PBE, using λ = 1.5418 Å (Cu Kα).
Neutral-atom scattering factors, no anomalous dispersion.

Crystal structure
```
data_Pr2HoTm5Sc
_cell_length_a 5.522
_cell_length_b 19.823
_cell_length_c 10.347
_cell_angle_alpha 90.00
_cell_angle_beta 90.00
_cell_angle_gamma 90.00
_space_group_name_H-M_alt 'C m c 21'
_space_group_IT_number 36
loop_
_space_group_symop_operation_xyz
'x,y,z'
'-x,-y,z+1/2'
'-x,y,z'
'x,-y,z+1/2'
'x+1/2,y+1/2,z'
'-x+1/2,-y+1/2,z+1/2'
'-x+1/2,y+1/2,z'
'x+1/2,-y+1/2,z+1/2'
loop_
_atom_site_label
_atom_site_type_symbol
_atom_site_fract_x
_atom_site_fract_y
_atom_site_fract_z
Pr1 Pr 0.000 0.113 0.000
Pr2 Pr 0.000 0.116 0.419
Ho1 Ho 0.000 0.409 0.145
Tm1 Tm 0.000 0.016 0.704
Tm2 Tm 0.000 0.276 0.005
Tm3 Tm 0.000 0.299 0.388
Tm4 Tm 0.000 0.377 0.705
Tm5 Tm 0.000 0.482 0.425
Sc1 Sc 0.000 0.197 0.699
```

Most intense lines, 2θ from 10° to 90°, sorted by position:
| Position (°2θ) | I/Imax | hkl |
| --- | --- | --- |
| 27.20 | 23 | 1 3 2 |
| 28.36 | 16 | 0 6 1 |
| 30.90 | 36 | 1 1 3 |
| 32.42 | 44 | 2 0 0 |
| 32.76 | 100 | 1 5 2 |
| 58.05 | 20 | 3 5 2 |

=====

The following is a theoretical PXRD pattern of PrHo2TmSc2. It was derived from a crystal structure in Alexandria, relaxed with PBE, using λ = 1.5418 Å (Cu Kα).
Neutral-atom scattering factors, no anomalous dispersion.

Crystal structure
```
data_PrHo2TmSc2
_cell_length_a 6.772
_cell_length_b 9.518
_cell_length_c 5.462
_cell_angle_alpha 90.00
_cell_angle_beta 90.00
_cell_angle_gamma 90.00
_space_group_name_H-M_alt 'P n n m'
_space_group_IT_number 58
loop_
_space_group_symop_operation_xyz
'x,y,z'
'-x,-y,-z'
'-x,-y,z'
'x,y,-z'
'x+1/2,-y+1/2,-z+1/2'
'-x+1/2,y+1/2,z+1/2'
'-x+1/2,y+1/2,-z+1/2'
'x+1/2,-y+1/2,z+1/2'
loop_
_atom_site_label
_atom_site_type_symbol
_atom_site_fract_x
_atom_site_fract_y
_atom_site_fract_z
Pr1 Pr 0.000 0.000 0.000
Ho1 Ho 0.246 0.334 0.000
Tm1 Tm 0.000 0.500 0.500
Sc1 Sc 0.250 0.167 0.500
```

Most intense lines, 2θ from 10° to 90°, sorted by position:
| Position (°2θ) | I/Imax | hkl |
| --- | --- | --- |
| 22.89 | 37 | 1 2 0 |
| 32.49 | 100 | 2 1 1 |
| 32.64 | 65 | 0 3 1 |
| 32.80 | 32 | 0 0 2 |
| 58.15 | 31 | 0 6 0 |
| 64.73 | 26 | 4 3 1 |

=====

The following is a theoretical PXRD pattern of Pr2HoTm2Sc2. It was derived from a crystal structure in Alexandria, relaxed with PBE, using λ = 1.5418 Å (Cu Kα).
Neutral-atom scattering factors, no anomalous dispersion.

Crystal structure
```
data_Pr2HoTm2Sc2
_cell_length_a 11.152
_cell_length_b 3.433
_cell_length_c 11.612
_cell_angle_alpha 90.00
_cell_angle_beta 101.64
_cell_angle_gamma 90.00
_space_group_name_H-M_alt 'C 1 2/m 1'
_space_group_IT_number 12
loop_
_space_group_symop_operation_xyz
'x,y,z'
'-x,-y,-z'
'-x,y,-z'
'x,-y,z'
'x+1/2,y+1/2,z'
'-x+1/2,-y+1/2,-z'
'-x+1/2,y+1/2,-z'
'x+1/2,-y+1/2,z'
loop_
_atom_site_label
_atom_site_type_symbol
_atom_site_fract_x
_atom_site_fract_y
_atom_site_fract_z
Pr1 Pr 0.093 0.000 0.270
Ho1 Ho 0.000 0.500 0.000
Tm1 Tm 0.153 0.000 0.574
Sc1 Sc 0.206 0.000 0.877
```

Most intense lines, 2θ from 10° to 90°, sorted by position:
| Position (°2θ) | I/Imax | hkl |
| --- | --- | --- |
| 27.89 | 46 | 1 1 -1 |
| 31.32 | 91 | 2 0 3 |
| 32.13 | 73 | 4 0 -1 |
| 32.41 | 100 | 2 0 -4 |
| 35.11 | 65 | 1 1 -3 |
| 35.96 | 62 | 3 1 0 |

=====

The following is a theoretical PXRD pattern of Pr5Y2HoSc. It was derived from a crystal structure in Alexandria, relaxed with PBE, using λ = 1.5418 Å (Cu Kα).
Neutral-atom scattering factors, no anomalous dispersion.

Crystal structure
```
data_Pr5Y2HoSc
_cell_length_a 5.420
_cell_length_b 22.051
_cell_length_c 10.306
_cell_angle_alpha 90.00
_cell_angle_beta 90.00
_cell_angle_gamma 90.00
_space_group_name_H-M_alt 'C m c 21'
_space_group_IT_number 36
loop_
_space_group_symop_operation_xyz
'x,y,z'
'-x,-y,z+1/2'
'-x,y,z'
'x,-y,z+1/2'
'x+1/2,y+1/2,z'
'-x+1/2,-y+1/2,z+1/2'
'-x+1/2,y+1/2,z'
'x+1/2,-y+1/2,z+1/2'
loop_
_atom_site_label
_atom_site_type_symbol
_atom_site_fract_x
_atom_site_fract_y
_atom_site_fract_z
Pr1 Pr 0.000 0.000 0.000
Pr2 Pr 0.000 0.127 0.250
Pr3 Pr 0.000 0.221 0.562
Pr4 Pr 0.000 0.222 0.937
Pr5 Pr 0.000 0.500 0.250
Y1 Y 0.000 0.385 0.003
Y2 Y 0.000 0.385 0.497
Ho1 Ho 0.000 0.102 0.750
Sc1 Sc 0.000 0.287 0.250
```

Most intense lines, 2θ from 10° to 90°, sorted by position:
| Position (°2θ) | I/Imax | hkl |
| --- | --- | --- |
| 26.78 | 32 | 1 3 2 |
| 31.39 | 100 | 1 5 2 |
| 33.05 | 32 | 2 0 0 |
| 34.82 | 15 | 0 0 4 |
| 57.99 | 17 | 3 5 2 |
| 59.86 | 19 | 1 13 2 |